No. 1
Computed powder diffractogram of Tm2Te4O11 for CuKα, from a crystal structure in Alexandria, relaxed with PBE.
Peak positions follow from Bragg's law for the DFT cell and can differ from measured ones.

Structure:
a = 12.3826 Å, b = 5.1272 Å, c = 16.2790 Å
α = 90.00°, β = 105.10°, γ = 90.00°
Space group C2/c (No. 15)
Asymmetric unit:
Tm1 0.1195 0.2480 0.0371
Te1 0.1218 0.2827 0.6969
Te2 0.1283 0.2829 0.3761
O1 0.0000 0.1484 0.7500
O2 0.0233 0.4276 0.5945
O3 0.0684 0.1029 0.4559
O4 0.1491 0.0565 0.1653
O5 0.2083 0.4531 0.9496
O6 0.2460 0.4401 0.6258

The 10 most intense peaks (2θ from 15° to 90°), in order of rising 2θ:
26.71 deg, rel. 100, hkl 1 1 3
29.95 deg, rel. 99, hkl 3 1 -3
33.59 deg, rel. 21, hkl 2 0 -6
35.00 deg, rel. 17, hkl 0 2 0
41.07 deg, rel. 15, hkl 2 0 6
46.68 deg, rel. 21, hkl 4 2 0
49.15 deg, rel. 18, hkl 5 1 3
49.29 deg, rel. 18, hkl 2 2 -6
55.03 deg, rel. 25, hkl 7 1 -3
59.67 deg, rel. 20, hkl 5 1 -9

No. 2
Computed powder diffractogram of K3In2As4 for CuKα, from a crystal structure in Alexandria, relaxed with PBE.
Peak positions follow from Bragg's law for the DFT cell and can differ from measured ones.

Structure:
a = 18.0202 Å, b = 4.3648 Å, c = 7.8303 Å
α = 90.00°, β = 114.99°, γ = 90.00°
Space group C2/m (No. 12)
Asymmetric unit:
K1 0.0000 0.0000 0.0000
K2 0.1493 0.0000 0.7595
In1 0.1667 0.5000 0.4014
As1 0.0069 0.5000 0.3551
As2 0.2046 0.0000 0.2424

The 10 most intense peaks (2θ from 15° to 90°), in order of rising 2θ:
23.33 deg, rel. 47, hkl 1 1 -1
25.72 deg, rel. 75, hkl 1 1 1
25.85 deg, rel. 41, hkl 3 1 -1
31.23 deg, rel. 74, hkl 3 1 -2
32.23 deg, rel. 100, hkl 5 1 -1
32.90 deg, rel. 66, hkl 6 0 0
34.75 deg, rel. 57, hkl 2 0 -3
41.35 deg, rel. 89, hkl 0 2 0
41.71 deg, rel. 80, hkl 1 1 -3
53.83 deg, rel. 56, hkl 6 2 0

No. 3
Computed powder diffractogram of CaNd8Sm3 for CuKα, from a crystal structure in Alexandria, relaxed with PBE.
Peak positions follow from Bragg's law for the DFT cell and can differ from measured ones.

Structure:
a = 18.6880 Å, b = 3.5639 Å, c = 13.3105 Å
α = 90.00°, β = 104.45°, γ = 90.00°
Space group Cm (No. 8)
Asymmetric unit:
Ca1 0.0000 0.0000 0.0000
Nd1 0.1483 0.0000 0.4107
Nd2 0.1595 0.5000 0.9120
Nd3 0.1621 0.5000 0.1770
Nd4 0.3118 0.5000 0.5667
Nd5 0.3163 0.5000 0.8234
Nd6 0.3216 0.0000 0.3314
Nd7 0.4815 0.5000 0.4935
Nd8 0.4892 0.0000 0.2538
Sm1 0.1381 0.5000 0.6474
Sm2 0.3270 0.5000 0.0957
Sm3 0.4700 0.0000 0.7359

The 10 most intense peaks (2θ from 15° to 90°), in order of rising 2θ:
25.47 deg, rel. 17, hkl 1 1 0
29.63 deg, rel. 100, hkl 6 0 0
29.76 deg, rel. 57, hkl 4 0 -4
31.72 deg, rel. 44, hkl 2 0 4
33.83 deg, rel. 26, hkl 1 1 3
34.79 deg, rel. 20, hkl 5 1 -1
35.66 deg, rel. 29, hkl 5 1 -2
51.31 deg, rel. 24, hkl 0 2 0
60.37 deg, rel. 34, hkl 4 2 -4
61.54 deg, rel. 19, hkl 2 2 4

No. 4
Computed powder diffractogram of In3Hg4I3 for CuKα, from a crystal structure in Alexandria, relaxed with PBE.
Peak positions follow from Bragg's law for the DFT cell and can differ from measured ones.

Structure:
a = 11.3923 Å, b = 11.3923 Å, c = 11.3923 Å
α = 90.00°, β = 90.00°, γ = 90.00°
Space group I-43d (No. 220)
Asymmetric unit:
In1 0.0000 0.2500 0.3750
Hg1 0.0928 0.4072 0.5928
I1 0.0000 0.2500 0.8750

The 10 most intense peaks (2θ from 15° to 90°), in order of rising 2θ:
19.08 deg, rel. 10, hkl 2 1 1
24.71 deg, rel. 19, hkl 3 1 0
29.33 deg, rel. 100, hkl 3 2 1
35.23 deg, rel. 20, hkl 4 2 0
38.72 deg, rel. 18, hkl 4 2 2
40.37 deg, rel. 14, hkl 4 3 1
43.51 deg, rel. 13, hkl 5 2 1
50.68 deg, rel. 9, hkl 6 2 0
54.64 deg, rel. 13, hkl 6 3 1
57.17 deg, rel. 11, hkl 7 1 0

No. 5
Computed powder diffractogram of Rb2CdH2Br2 for CuKα, from a crystal structure in Alexandria, relaxed with PBE.
Peak positions follow from Bragg's law for the DFT cell and can differ from measured ones.

Structure:
a = 4.5650 Å, b = 4.5650 Å, c = 17.4735 Å
α = 90.00°, β = 90.00°, γ = 90.00°
Space group I4/mmm (No. 139)
Asymmetric unit:
Rb1 0.0000 0.0000 0.1251
Cd1 0.0000 0.0000 0.5000
H1 0.0000 0.5000 0.0000
Br1 0.0000 0.0000 0.3356

The 10 most intense peaks (2θ from 15° to 90°), in order of rising 2θ:
20.10 deg, rel. 13, hkl 1 0 1
27.63 deg, rel. 100, hkl 1 1 0
30.70 deg, rel. 15, hkl 0 0 6
32.26 deg, rel. 63, hkl 1 0 5
39.48 deg, rel. 39, hkl 2 0 0
41.77 deg, rel. 24, hkl 1 1 6
50.82 deg, rel. 14, hkl 2 0 6
51.87 deg, rel. 32, hkl 2 1 5
57.06 deg, rel. 13, hkl 2 2 0
64.56 deg, rel. 17, hkl 3 1 0